(1)
Starting from a structure optimized by DFT (GGA-PBE), the X-ray powder pattern of CeSe2 was calculated for Cu Kα (λ = 1.5418 Å).
Kinematic intensities with the Lorentz-polarization factor, no thermal factor.

Top 12 peaks for 2θ = 5–70°, by angle:
2θ 5.24, I = 632, (2 0 -1); 2θ 11.17, I = 161, (1 1 -1); 2θ 12.22, I = 1000, (3 1 0); 2θ 13.21, I = 165, (6 0 0); 2θ 13.48, I = 146, (6 0 -2); 2θ 13.72, I = 486, (0 0 3); 2θ 15.08, I = 165, (5 1 0); 2θ 15.72, I = 250, (6 0 -3); 2θ 16.48, I = 120, (3 1 2); 2θ 20.63, I = 155, (0 2 0); 2θ 31.91, I = 123, (3 3 0); 2θ 44.36, I = 128, (6 0 -10)

Cell and atoms:
```
data_CeSe2
_cell_length_a 42.377
_cell_length_b 8.609
_cell_length_c 20.437
_cell_angle_alpha 90.00
_cell_angle_beta 108.44
_cell_angle_gamma 90.00
_space_group_name_H-M_alt 'C 1 2/m 1'
_space_group_IT_number 12
loop_
_space_group_symop_operation_xyz
'x,y,z'
'-x,-y,-z'
'-x,y,-z'
'x,-y,z'
'x+1/2,y+1/2,z'
'-x+1/2,-y+1/2,-z'
'-x+1/2,y+1/2,-z'
'x+1/2,-y+1/2,z'
loop_
_atom_site_label
_atom_site_type_symbol
_atom_site_fract_x
_atom_site_fract_y
_atom_site_fract_z
Ce1 Ce 0.062 0.000 0.413
Ce2 Ce 0.071 0.000 0.659
Ce3 Ce 0.119 0.500 0.380
Ce4 Ce 0.131 0.500 0.791
Ce5 Ce 0.207 0.500 0.634
Ce6 Ce 0.216 0.500 0.022
Ce7 Ce 0.221 0.500 0.290
Se1 Se 0.004 0.000 0.608
Se2 Se 0.078 0.250 0.348
Se3 Se 0.091 0.249 0.744
Se4 Se 0.096 0.000 0.551
Se5 Se 0.153 0.500 0.931
Se6 Se 0.155 0.500 0.515
Se7 Se 0.158 0.500 0.295
Se8 Se 0.184 0.500 0.745
Se9 Se 0.217 0.500 0.155
Se10 Se 0.246 0.250 0.639
Se11 Se 0.250 0.250 0.000
```

=====

(2)
Starting from a structure optimized by DFT (GGA-PBE), the X-ray powder pattern of U4As6Ru7 was calculated for Cu Kα (λ = 1.5418 Å).
Kinematic intensities with the Lorentz-polarization factor, no thermal factor.

Top 12 peaks for 2θ = 5–70°, by angle:
2θ 21.27, I = 145, (2 0 0); 2θ 30.26, I = 444, (2 2 0); 2θ 37.29, I = 1000, (2 2 2); 2θ 40.40, I = 119, (3 2 1); 2θ 43.33, I = 602, (4 0 0); 2θ 46.10, I = 50, (3 3 0); 2θ 48.75, I = 140, (4 2 0); 2θ 51.30, I = 85, (3 3 2); 2θ 53.76, I = 124, (4 2 2); 2θ 62.94, I = 344, (4 4 0); 2θ 67.24, I = 92, (4 4 2); 2θ 69.35, I = 23, (6 1 1)

Cell and atoms:
```
data_U4As6Ru7
_cell_length_a 8.354
_cell_length_b 8.354
_cell_length_c 8.354
_cell_angle_alpha 90.00
_cell_angle_beta 90.00
_cell_angle_gamma 90.00
_space_group_name_H-M_alt 'I m -3 m'
_space_group_IT_number 229
_space_group_name_Hall '-I 4 2 3'
loop_
_atom_site_label
_atom_site_type_symbol
_atom_site_fract_x
_atom_site_fract_y
_atom_site_fract_z
U1 U 0.250 0.250 0.250
As1 As 0.000 0.000 0.309
Ru1 Ru 0.000 0.000 0.000
Ru2 Ru 0.000 0.250 0.500
```